Diffraction record for Ce2ScRu2. The powder X-ray diffraction pattern is calculated, not measured: it uses a crystal structure in Alexandria, relaxed with PBE and a wavelength of 1.5418 Å.
Kinematic intensities with the Lorentz-polarization factor, no thermal factor.

Structure:
```
data_Ce2ScRu2
_chemical_formula_sum 'Ce8 Sc4 Ru8'
_cell_length_a 9.068
_cell_length_b 8.131
_cell_length_c 5.822
_cell_angle_alpha 90.00
_cell_angle_beta 99.28
_cell_angle_gamma 90.00
_symmetry_space_group_name_H-M 'P 1 21/c 1'
_symmetry_Int_Tables_number 14
loop_
_symmetry_equiv_pos_as_xyz
'x,y,z'
'-x,-y,-z'
'-x,y+1/2,-z+1/2'
'x,-y+1/2,z+1/2'
loop_
_atom_site_label
_atom_site_fract_x
_atom_site_fract_y
_atom_site_fract_z
_atom_site_occupancy
Ce1 0.091 0.168 0.379 1
Ce2 0.267 0.697 0.938 1
Sc1 0.397 0.122 0.130 1
Ru1 0.135 0.529 0.393 1
Ru2 0.375 0.053 0.630 1
```

Peak list (10 most intense, 10 to 80 degrees two-theta, low angle first)
2θ 31.98, rel. 100; 2θ 34.27, rel. 82; 2θ 36.07, rel. 53; 2θ 36.66, rel. 29; 2θ 38.74, rel. 66; 2θ 38.85, rel. 19; 2θ 42.59, rel. 23; 2θ 46.00, rel. 20; 2θ 46.31, rel. 29; 2θ 58.56, rel. 27

Diffraction record for Ag3Te4. The powder X-ray diffraction pattern is calculated, not measured: it uses a crystal structure in Alexandria, relaxed with PBE and a wavelength of 1.5418 Å.
Kinematic intensities with the Lorentz-polarization factor, no thermal factor.

Structure:
```
data_Ag3Te4
_chemical_formula_sum 'Ag6 Te8'
_cell_length_a 3.179
_cell_length_b 4.340
_cell_length_c 28.449
_cell_angle_alpha 90.00
_cell_angle_beta 90.00
_cell_angle_gamma 90.00
_symmetry_space_group_name_H-M 'I m m m'
_symmetry_Int_Tables_number 71
_symmetry_space_group_name_Hall '-I 2 2'
loop_
_atom_site_label
_atom_site_fract_x
_atom_site_fract_y
_atom_site_fract_z
_atom_site_occupancy
Ag1 0.000 0.000 0.000 1
Ag2 0.000 0.000 0.223 1
Te1 0.000 0.000 0.328 1
Te2 0.000 0.000 0.441 1
```

Peak list (10 most intense, 10 to 80 degrees two-theta, low angle first)
2θ 12.45, rel. 40; 2θ 20.70, rel. 21; 2θ 34.99, rel. 100; 2θ 35.12, rel. 95; 2θ 40.24, rel. 65; 2θ 41.62, rel. 31; 2θ 59.26, rel. 43; 2θ 69.67, rel. 25; 2θ 69.92, rel. 22; 2θ 71.71, rel. 23

Diffraction record for Ni21B6Sb2. The powder X-ray diffraction pattern is calculated, not measured: it uses a crystal structure in Alexandria, relaxed with PBE and a wavelength of 1.5418 Å.
Kinematic intensities with the Lorentz-polarization factor, no thermal factor.

Structure:
```
data_Ni21B6Sb2
_chemical_formula_sum 'Ni84 B24 Sb8'
_cell_length_a 10.601
_cell_length_b 10.601
_cell_length_c 10.601
_cell_angle_alpha 90.00
_cell_angle_beta 90.00
_cell_angle_gamma 90.00
_symmetry_space_group_name_H-M 'F m -3 m'
_symmetry_Int_Tables_number 225
_symmetry_space_group_name_Hall '-F 4 2 3'
loop_
_atom_site_label
_atom_site_fract_x
_atom_site_fract_y
_atom_site_fract_z
_atom_site_occupancy
Ni1 0.000 0.000 0.000 1
Ni2 0.000 0.168 0.168 1
Ni3 0.115 0.115 0.385 1
B1 0.000 0.000 0.271 1
Sb1 0.250 0.250 0.250 1
```

Peak list (10 most intense, 10 to 80 degrees two-theta, low angle first)
2θ 37.96, rel. 49; 2θ 41.74, rel. 49; 2θ 44.40, rel. 100; 2θ 48.58, rel. 28; 2θ 50.96, rel. 26; 2θ 54.76, rel. 7; 2θ 57.68, rel. 14; 2θ 73.69, rel. 14; 2θ 76.20, rel. 30; 2θ 78.07, rel. 12